Diffraction record for LiCoF5. The powder diffractogram is simulated, not measured: it uses a structure optimized by DFT (GGA+U) and Cu Kα (λ = 1.5418 Å).
Kinematic intensities with the Lorentz-polarization factor, no thermal factor.

Most intense lines, 5° ≤ 2θ ≤ 70°, low angle first:
19.08°, intensity 1000; 23.38°, intensity 523; 26.03°, intensity 292; 26.48°, intensity 244; 28.00°, intensity 606; 30.43°, intensity 172; 39.36°, intensity 97; 47.81°, intensity 200; 47.97°, intensity 253; 51.83°, intensity 113; 52.60°, intensity 216; 57.88°, intensity 90

Structure:
Lattice parameters (Å, degrees): 5.1981 5.1981 7.5870 112.36 112.36 68.82
Fractional coordinates of all 14 atoms:
Li: 0.0306 0.9694 0.7500
Li: 0.9694 0.0306 0.2500
Co: 0.5000 0.5000 0.0000
Co: 0.5000 0.5000 0.5000
F: 0.1763 0.7640 0.0433
F: 0.2337 0.3082 0.3706
F: 0.2360 0.8237 0.4567
F: 0.3082 0.2337 0.8706
F: 0.3803 0.6197 0.7500
F: 0.6197 0.3803 0.2500
F: 0.6918 0.7663 0.1294
F: 0.7640 0.1763 0.5433
F: 0.7663 0.6918 0.6294
F: 0.8237 0.2360 0.9567